Entry 1:
Structure and simulated powder diffractogram of TbErAu2O8 (a cell relaxed with PBE; λ = 1.5418 Å (Cu Kα)).
Intensities are scaled so that the largest is 100.

Most intense lines, 10° ≤ 2θ ≤ 90°, in order of rising 2θ:
| 2theta | I/Imax |
| --- | --- |
| 29.22 | 100.0 |
| 33.78 | 22.8 |
| 34.02 | 11.1 |
| 48.53 | 16.9 |
| 48.71 | 33.5 |
| 57.65 | 30.2 |
| 57.97 | 14.8 |
| 60.59 | 9.6 |
| 78.62 | 6.2 |
| 78.89 | 12.4 |

```
TbErAu2O8
1.0
-2.653 2.653 5.270
2.653 -2.653 5.270
2.653 2.653 -5.270
Tb Er Au O
1 1 2 8
direct
0.000 0.000 0.000
0.250 0.750 0.500
0.500 0.500 0.000
0.750 0.250 0.500
0.127 0.140 0.519
0.127 0.608 0.987
0.392 0.379 0.519
0.392 0.873 0.013
0.621 0.140 0.013
0.621 0.608 0.481
0.860 0.379 0.987
0.860 0.873 0.481
```



Entry 2:
Structure and simulated powder diffractogram of Er4Co2Bi (a cell relaxed with PBE; λ = 1.5418 Å (Cu Kα)).
Intensities are scaled so that the largest is 100.

Most intense lines, 10° ≤ 2θ ≤ 90°, in order of rising 2θ:
| 2theta | I/Imax |
| --- | --- |
| 19.61 | 37.5 |
| 27.84 | 60.7 |
| 31.20 | 100.0 |
| 37.10 | 57.7 |
| 37.20 | 33.7 |
| 39.80 | 25.9 |
| 47.01 | 18.9 |
| 49.22 | 27.4 |
| 51.37 | 23.0 |
| 61.43 | 17.5 |

```
Er4Co2Bi
1.0
0.000 6.392 6.415
4.538 0.000 6.415
4.538 6.392 0.000
Er Co Bi
8 4 2
direct
0.153 0.275 0.277
0.205 0.723 0.725
0.275 0.153 0.795
0.277 0.795 0.153
0.723 0.205 0.847
0.725 0.847 0.205
0.795 0.277 0.275
0.847 0.725 0.723
0.000 0.000 0.000
0.000 0.000 0.500
0.000 0.500 0.000
0.500 0.000 0.000
0.375 0.375 0.375
0.625 0.625 0.625
```



Entry 3:
Structure and simulated powder diffractogram of LiAg4Pd3 (a cell relaxed with PBE; λ = 1.5418 Å (Cu Kα)).
Intensities are scaled so that the largest is 100.

Most intense lines, 10° ≤ 2θ ≤ 90°, in order of rising 2θ:
| 2theta | I/Imax |
| --- | --- |
| 11.08 | 7.9 |
| 22.68 | 7.3 |
| 38.74 | 100.0 |
| 44.83 | 32.6 |
| 45.44 | 15.6 |
| 65.26 | 10.2 |
| 65.74 | 19.8 |
| 78.55 | 23.7 |
| 79.43 | 11.5 |
| 83.10 | 10.3 |

```
LiAg4Pd3
1.0
4.044 0.000 0.000
0.000 4.044 0.000
0.000 0.000 15.970
Li Ag Pd
2 8 6
direct
0.000 0.000 0.000
0.500 0.500 0.500
0.000 0.500 0.124
0.000 0.500 0.376
0.000 0.500 0.624
0.000 0.500 0.876
0.500 0.000 0.124
0.500 0.000 0.376
0.500 0.000 0.624
0.500 0.000 0.876
0.000 0.000 0.251
0.000 0.000 0.500
0.000 0.000 0.749
0.500 0.500 0.000
0.500 0.500 0.249
0.500 0.500 0.751
```



Entry 4:
Structure and simulated powder diffractogram of Pm2HgGe2 (a cell relaxed with PBE; λ = 1.5418 Å (Cu Kα)).
Intensities are scaled so that the largest is 100.

Most intense lines, 10° ≤ 2θ ≤ 90°, in order of rising 2θ:
| 2theta | I/Imax |
| --- | --- |
| 26.71 | 28.9 |
| 31.66 | 98.8 |
| 33.76 | 27.0 |
| 33.89 | 100.0 |
| 37.88 | 60.0 |
| 42.11 | 30.1 |
| 54.72 | 23.4 |
| 56.21 | 21.9 |
| 57.92 | 35.1 |
| 67.20 | 22.5 |

```
Pm2HgGe2
1.0
7.510 0.000 0.000
0.000 7.510 0.000
0.000 0.000 8.584
Pm Hg Ge
8 4 8
direct
0.179 0.320 0.000
0.180 0.321 0.500
0.320 0.821 0.000
0.321 0.820 0.500
0.679 0.180 0.500
0.680 0.179 0.000
0.820 0.679 0.500
0.821 0.680 0.000
0.000 0.000 0.250
0.000 0.000 0.750
0.500 0.500 0.250
0.500 0.500 0.750
0.120 0.620 0.250
0.120 0.620 0.750
0.380 0.120 0.250
0.380 0.120 0.750
0.620 0.880 0.250
0.620 0.880 0.750
0.880 0.380 0.250
0.880 0.380 0.750
```



Entry 5:
Structure and simulated powder diffractogram of Pr3AsS (a cell relaxed with PBE; λ = 1.5418 Å (Cu Kα)).
Intensities are scaled so that the largest is 100.

Most intense lines, 10° ≤ 2θ ≤ 90°, in order of rising 2θ:
| 2theta | I/Imax |
| --- | --- |
| 23.57 | 19.3 |
| 25.94 | 68.0 |
| 35.33 | 100.0 |
| 45.76 | 28.6 |
| 52.10 | 13.8 |
| 53.35 | 9.3 |
| 55.56 | 16.6 |
| 59.11 | 22.2 |
| 68.65 | 16.8 |
| 77.81 | 19.7 |

```
Pr3AsS
1.0
6.869 0.000 0.000
-3.434 5.948 0.000
0.000 0.000 3.775
Pr As S
3 1 1
direct
0.006 0.338 0.000
0.332 0.994 0.000
0.662 0.668 0.000
0.667 0.333 0.500
0.333 0.667 0.500
```



Entry 6:
Structure and simulated powder diffractogram of Y13Ho3O24 (a cell relaxed with PBE; λ = 1.5418 Å (Cu Kα)).
Intensities are scaled so that the largest is 100.

Most intense lines, 10° ≤ 2θ ≤ 90°, in order of rising 2θ:
| 2theta | I/Imax |
| --- | --- |
| 20.36 | 13.1 |
| 28.95 | 100.0 |
| 33.55 | 28.4 |
| 43.17 | 8.8 |
| 48.18 | 42.3 |
| 57.19 | 31.0 |
| 58.60 | 5.8 |
| 77.95 | 8.7 |
| 80.38 | 6.0 |
| 89.97 | 5.8 |

```
Y13Ho3O24
1.0
9.251 0.000 0.000
-3.082 8.724 0.000
-3.084 -4.361 7.557
Y Ho O
13 3 24
direct
0.000 0.000 0.000
0.000 0.499 0.500
0.033 0.717 0.250
0.217 0.185 0.468
0.250 0.967 0.718
0.282 0.749 0.967
0.467 0.217 0.185
0.500 0.434 0.935
0.500 0.934 0.435
0.533 0.716 0.750
0.717 0.684 0.468
0.750 0.967 0.218
0.783 0.250 0.967
0.250 0.467 0.217
0.750 0.467 0.718
0.967 0.217 0.685
0.012 0.455 0.249
0.020 0.497 0.760
0.023 0.229 0.946
0.207 0.956 0.946
0.217 0.207 0.729
0.239 0.694 0.175
0.261 0.240 0.260
0.281 0.727 0.706
0.293 0.978 0.490
0.477 0.704 0.487
0.481 0.435 0.675
0.488 0.478 0.186
0.511 0.696 0.989
0.521 0.195 0.957
0.522 0.009 0.229
0.708 0.197 0.686
0.718 0.424 0.448
0.739 0.998 0.978
0.763 0.937 0.459
0.782 0.510 0.987
0.793 0.736 0.749
0.979 0.738 0.478
0.979 0.924 0.206
0.989 0.238 0.447
```



Entry 7:
Structure and simulated powder diffractogram of Nb7Ga5 (a cell relaxed with PBE; λ = 1.5418 Å (Cu Kα)).
Intensities are scaled so that the largest is 100.

Most intense lines, 10° ≤ 2θ ≤ 90°, in order of rising 2θ:
| 2theta | I/Imax |
| --- | --- |
| 35.76 | 15.2 |
| 36.15 | 13.6 |
| 36.82 | 100.0 |
| 37.01 | 36.6 |
| 43.03 | 26.3 |
| 43.21 | 9.9 |
| 44.58 | 8.9 |
| 46.10 | 9.5 |
| 47.58 | 25.7 |
| 81.39 | 9.8 |

```
Nb7Ga5
1.0
4.797 -1.911 0.000
4.797 1.911 0.000
-4.660 0.000 11.701
Nb Ga
7 5
direct
0.000 0.000 0.000
0.189 0.189 0.552
0.287 0.287 0.833
0.445 0.445 0.287
0.555 0.555 0.713
0.713 0.713 0.167
0.811 0.811 0.448
0.149 0.149 0.298
0.337 0.337 0.063
0.500 0.500 0.500
0.663 0.663 0.937
0.851 0.851 0.702
```



Entry 8:
Structure and simulated powder diffractogram of ScTiAg2 (a cell relaxed with PBE; λ = 1.5418 Å (Cu Kα)).
Intensities are scaled so that the largest is 100.

Most intense lines, 10° ≤ 2θ ≤ 90°, in order of rising 2θ:
| 2theta | I/Imax |
| --- | --- |
| 26.50 | 22.3 |
| 37.83 | 100.0 |
| 46.79 | 6.4 |
| 54.58 | 16.1 |
| 61.67 | 8.3 |
| 68.32 | 31.5 |
| 80.84 | 9.7 |
| 86.90 | 4.2 |

```
ScTiAg2
1.0
6.726 0.000 0.000
0.000 6.726 0.000
0.000 0.000 6.726
Sc Ti Ag
4 4 8
direct
0.000 0.000 0.000
0.000 0.500 0.500
0.500 0.000 0.500
0.500 0.500 0.000
0.000 0.000 0.500
0.000 0.500 0.000
0.500 0.000 0.000
0.500 0.500 0.500
0.250 0.250 0.250
0.250 0.250 0.750
0.250 0.750 0.250
0.250 0.750 0.750
0.750 0.250 0.250
0.750 0.250 0.750
0.750 0.750 0.250
0.750 0.750 0.750
```



Entry 9:
Structure and simulated powder diffractogram of Ca8Ag2Hg (a cell relaxed with PBE; λ = 1.5418 Å (Cu Kα)).
Intensities are scaled so that the largest is 100.

Most intense lines, 10° ≤ 2θ ≤ 90°, in order of rising 2θ:
| 2theta | I/Imax |
| --- | --- |
| 16.85 | 51.9 |
| 19.93 | 100.0 |
| 21.51 | 31.7 |
| 21.70 | 41.4 |
| 30.07 | 55.2 |
| 30.22 | 49.6 |
| 31.42 | 35.4 |
| 32.78 | 30.6 |
| 35.96 | 44.9 |
| 36.11 | 42.9 |

```
Ca8Ag2Hg
1.0
4.659 -6.916 0.000
4.659 6.916 0.000
-1.771 0.000 5.818
Ca Ag Hg
8 2 1
direct
0.000 0.000 0.000
0.038 0.294 0.596
0.142 0.597 0.187
0.294 0.038 0.596
0.441 0.698 0.784
0.597 0.142 0.187
0.698 0.441 0.784
0.735 0.735 0.369
0.052 0.679 0.682
0.679 0.052 0.682
0.368 0.368 0.057
```



Entry 10:
Structure and simulated powder diffractogram of La5Pm3Nd (a cell relaxed with PBE; λ = 1.5418 Å (Cu Kα)).
Intensities are scaled so that the largest is 100.

Most intense lines, 10° ≤ 2θ ≤ 90°, in order of rising 2θ:
| 2theta | I/Imax |
| --- | --- |
| 23.74 | 23.5 |
| 27.10 | 26.0 |
| 28.72 | 43.7 |
| 30.70 | 82.3 |
| 30.89 | 100.0 |
| 31.10 | 86.3 |
| 31.21 | 54.1 |
| 32.78 | 42.4 |
| 33.93 | 26.9 |
| 43.72 | 20.2 |

```
La5Pm3Nd
1.0
9.566 -3.329 0.000
9.566 3.329 0.000
-4.861 0.000 10.523
La Pm Nd
10 6 2
direct
0.024 0.641 0.287
0.093 0.907 0.750
0.152 0.509 0.638
0.359 0.976 0.213
0.491 0.848 0.862
0.509 0.152 0.138
0.641 0.024 0.787
0.848 0.491 0.362
0.907 0.093 0.250
0.976 0.359 0.713
0.043 0.635 0.985
0.365 0.957 0.515
0.500 0.500 0.000
0.500 0.500 0.500
0.635 0.043 0.485
0.957 0.365 0.015
0.367 0.633 0.250
0.633 0.367 0.750
```



Entry 11:
Structure and simulated powder diffractogram of Pr2TlPb4 (a cell relaxed with PBE; λ = 1.5418 Å (Cu Kα)).
Intensities are scaled so that the largest is 100.

Most intense lines, 10° ≤ 2θ ≤ 90°, in order of rising 2θ:
| 2theta | I/Imax |
| --- | --- |
| 15.86 | 12.6 |
| 32.02 | 100.0 |
| 36.87 | 17.2 |
| 37.11 | 16.9 |
| 37.46 | 16.5 |
| 53.31 | 12.2 |
| 63.40 | 14.5 |
| 63.71 | 14.3 |
| 64.19 | 14.0 |
| 66.97 | 12.4 |

```
Pr2TlPb4
1.0
0.000 4.846 4.875
4.802 0.000 4.875
4.802 4.846 0.000
Pr Tl Pb
2 1 4
direct
0.000 0.000 0.500
0.500 0.500 0.000
0.000 0.000 0.000
0.000 0.500 0.000
0.000 0.500 0.500
0.500 0.000 0.000
0.500 0.000 0.500
```



Entry 12:
Structure and simulated powder diffractogram of SmDy2Ho7 (a cell relaxed with PBE; λ = 1.5418 Å (Cu Kα)).
Intensities are scaled so that the largest is 100.

Most intense lines, 10° ≤ 2θ ≤ 90°, in order of rising 2θ:
| 2theta | I/Imax |
| --- | --- |
| 30.99 | 100.0 |
| 35.94 | 50.6 |
| 51.73 | 30.0 |
| 51.79 | 6.0 |
| 61.48 | 14.3 |
| 61.58 | 28.4 |
| 64.60 | 12.3 |
| 84.44 | 7.5 |
| 84.55 | 10.4 |
| 87.24 | 7.0 |

```
SmDy2Ho7
1.0
6.114 0.000 0.000
2.033 6.776 0.000
2.035 1.239 7.532
Sm Dy Ho
1 2 7
direct
0.000 0.000 0.000
0.200 0.800 0.600
0.800 0.200 0.400
0.000 0.500 0.000
0.200 0.301 0.600
0.400 0.100 0.201
0.401 0.599 0.201
0.599 0.401 0.799
0.600 0.900 0.799
0.800 0.699 0.400
```